Simulated powder diffraction line list of Bi3O2F5 for λ = 1.5418 Å (Cu Kα), from a crystal structure in the Materials Project, relaxed with GGA-PBE.
Lines closer than 0.1° are merged.

Principal peaks in the range 10° ≤ 2θ ≤ 90°, by angle:
d [Å]	2theta	I/Imax	index
4.116	21.59	12.8	1 0 1
3.401	26.21	100.0	1 3 1
3.019	29.59	17.3	0 6 0
2.955	30.25	14.7	0 0 2
2.272	39.67	10.8	1 4 2
2.112	42.82	15.8	0 6 2
1.808	50.47	14.7	1 9 1
1.781	51.31	14.1	1 3 3

Atomic structure:
```
data_Bi3O2F5
_chemical_formula_sum 'Bi12 O8 F20'
_space_group_name_H-M_alt 'P n m a'
_space_group_IT_number 62
_cell_length_a 5.7346
_cell_length_b 18.1120
_cell_length_c 5.9100
_cell_angle_alpha 90.00
_cell_angle_beta 90.00
_cell_angle_gamma 90.00
loop_
_space_group_symop_operation_xyz
'x,y,z'
'-x,-y,-z'
'-x+1/2,-y,z+1/2'
'x+1/2,y,-z+1/2'
'x+1/2,-y+1/2,-z+1/2'
'-x+1/2,y+1/2,z+1/2'
'-x,y+1/2,-z'
'x,-y+1/2,z'
loop_
_atom_site_label
_atom_site_type_symbol
_atom_site_fract_x
_atom_site_fract_y
_atom_site_fract_z
Bi1 Bi 0.1703 0.1000 0.0392
Bi2 Bi 0.2396 0.2500 0.4630
O1 O 0.0452 0.6712 0.7270
F1 F 0.1086 0.5217 0.7903
F2 F 0.1352 0.2500 0.9017
F3 F 0.1682 0.6298 0.1678
```


Simulated powder diffraction line list of Bi3O4F for λ = 1.5418 Å (Cu Kα), from a crystal structure in the Materials Project, relaxed with GGA-PBE.
Lines closer than 0.1° are merged.

Principal peaks in the range 10° ≤ 2θ ≤ 90°, by angle:
d [Å]	2theta	I/Imax	index
3.870	22.98	59.1	1 1 0
3.290	27.10	100.0	0 2 3
3.150	28.33	23.2	0 4 0
2.922	30.60	61.3	1 3 0
2.732	32.78	67.2	1 1 3
2.033	44.56	19.5	2 0 0
1.873	48.62	40.4	1 5 3
1.730	52.94	33.0	2 2 3

Atomic structure:
```
data_Bi3O4F
_chemical_formula_sum 'Bi12 O16 F4'
_space_group_name_H-M_alt 'C m c m'
_space_group_IT_number 63
_space_group_name_Hall '-C 2c 2'
_cell_length_a 4.0667
_cell_length_b 12.6006
_cell_length_c 11.5731
_cell_angle_alpha 90.00
_cell_angle_beta 90.00
_cell_angle_gamma 90.00
loop_
_atom_site_label
_atom_site_type_symbol
_atom_site_fract_x
_atom_site_fract_y
_atom_site_fract_z
Bi1 Bi 0.0000 0.1333 0.0931
Bi2 Bi 0.0000 0.1692 0.7500
O1 O 0.0000 0.0386 0.2500
O2 O 0.0000 0.2532 0.2500
O3 O 0.0000 0.2756 0.5983
F1 F 0.0000 0.5000 0.0000
```


Simulated powder diffraction line list of Bi5O7F for λ = 1.5418 Å (Cu Kα), from a crystal structure in the Materials Project, relaxed with GGA-PBE.
Lines closer than 0.1° are merged.

Principal peaks in the range 10° ≤ 2θ ≤ 90°, by angle:
d [Å]	2theta	I/Imax	index
8.007	11.05	17.1	0 2 0
3.181	28.05	100.0	1 3 4
2.998	29.80	21.5	0 0 8
2.669	33.58	19.8	0 6 0
2.638	33.98	17.4	2 0 0
1.994	45.50	16.0	0 6 8
1.764	51.82	18.9	1 3 12
1.623	56.72	16.2	1 9 4

Atomic structure:
```
data_Bi5O7F
_chemical_formula_sum 'Bi40 O56 F8'
_space_group_name_H-M_alt 'I b c a'
_space_group_IT_number 73
_space_group_name_Hall '-I 2b 2c'
_cell_length_a 5.2762
_cell_length_b 16.0138
_cell_length_c 23.9876
_cell_angle_alpha 90.00
_cell_angle_beta 90.00
_cell_angle_gamma 90.00
loop_
_atom_site_label
_atom_site_type_symbol
_atom_site_fract_x
_atom_site_fract_y
_atom_site_fract_z
Bi1 Bi 0.0000 0.2500 0.1986
Bi2 Bi 0.0110 0.0799 0.3074
Bi3 Bi 0.0319 0.0793 0.5636
O1 O 0.0522 0.0689 0.6507
O2 O 0.0722 0.0492 0.4481
O3 O 0.2390 0.0000 0.2500
O4 O 0.2461 0.1668 0.2508
F1 F 0.0000 0.2500 0.3469
```


Simulated powder diffraction line list of Bi3O4F for λ = 1.5418 Å (Cu Kα), from a crystal structure in the Materials Project, relaxed with GGA-PBE.
Lines closer than 0.1° are merged.

Principal peaks in the range 10° ≤ 2θ ≤ 90°, by angle:
d [Å]	2theta	I/Imax	index
3.566	24.97	100.0	1 1 1
3.205	27.84	91.8	2 1 -1
2.992	29.86	25.9	3 0 0
2.927	30.54	20.8	0 2 0
2.846	31.43	30.4	1 0 -2
2.092	43.24	19.5	3 2 0
2.040	44.41	25.6	1 2 -2
1.916	47.46	20.5	4 0 -2

Atomic structure:
```
data_Bi3O4F
_chemical_formula_sum 'Bi6 O8 F2'
_space_group_name_H-M_alt 'P 1 2/c 1'
_space_group_IT_number 13
_cell_length_a 9.0889
_cell_length_b 5.8541
_cell_length_c 5.7654
_cell_angle_alpha 90.00
_cell_angle_beta 99.07
_cell_angle_gamma 90.00
loop_
_space_group_symop_operation_xyz
'x,y,z'
'-x,-y,-z'
'-x,y,-z+1/2'
'x,-y,z+1/2'
loop_
_atom_site_label
_atom_site_type_symbol
_atom_site_fract_x
_atom_site_fract_y
_atom_site_fract_z
Bi1 Bi 0.0000 0.1970 0.2500
Bi2 Bi 0.3069 0.2996 0.8619
O1 O 0.1379 0.0758 0.9584
O2 O 0.1996 0.4376 0.5285
F1 F 0.5000 0.3774 0.2500
```


Simulated powder diffraction line list of Bi2OF4 for λ = 1.5418 Å (Cu Kα), from a crystal structure in the Materials Project, relaxed with GGA-PBE.
Lines closer than 0.1° are merged.

Principal peaks in the range 10° ≤ 2θ ≤ 90°, by angle:
d [Å]	2theta	I/Imax	index
3.680	24.19	100.0	1 1 1
3.185	28.02	29.5	4 0 0
3.162	28.22	67.0	3 1 -1
2.833	31.58	47.6	2 0 -2
2.724	32.88	15.8	3 1 1
2.117	42.71	21.9	4 2 0
2.004	45.26	19.3	2 2 -2
1.759	51.98	19.9	7 1 -1

Atomic structure:
```
data_Bi2OF4
_chemical_formula_sum 'Bi8 O4 F16'
_space_group_name_H-M_alt 'C 1 2/c 1'
_space_group_IT_number 15
_cell_length_a 13.0313
_cell_length_b 5.6667
_cell_length_c 5.8314
_cell_angle_alpha 90.00
_cell_angle_beta 102.14
_cell_angle_gamma 90.00
loop_
_space_group_symop_operation_xyz
'x,y,z'
'-x,-y,-z'
'-x,y,-z+1/2'
'x,-y,z+1/2'
'x+1/2,y+1/2,z'
'-x+1/2,-y+1/2,-z'
'-x+1/2,y+1/2,-z+1/2'
'x+1/2,-y+1/2,z+1/2'
loop_
_atom_site_label
_atom_site_type_symbol
_atom_site_fract_x
_atom_site_fract_y
_atom_site_fract_z
Bi1 Bi 0.1058 0.2145 0.0815
O1 O 0.0000 0.0388 0.7500
F1 F 0.0785 0.3829 0.4396
F2 F 0.2143 0.0665 0.8228
```


What did the third record say?
Simulated powder diffraction line list of Bi5O7F for λ = 1.5418 Å (Cu Kα), from a crystal structure in the Materials Project, relaxed with GGA-PBE.
Lines closer than 0.1° are merged.

Principal peaks in the range 10° ≤ 2θ ≤ 90°, by angle:
d [Å]	2theta	I/Imax	index
8.007	11.05	17.1	0 2 0
3.181	28.05	100.0	1 3 4
2.998	29.80	21.5	0 0 8
2.669	33.58	19.8	0 6 0
2.638	33.98	17.4	2 0 0
1.994	45.50	16.0	0 6 8
1.764	51.82	18.9	1 3 12
1.623	56.72	16.2	1 9 4

Atomic structure:
```
data_Bi5O7F
_chemical_formula_sum 'Bi40 O56 F8'
_space_group_name_H-M_alt 'I b c a'
_space_group_IT_number 73
_space_group_name_Hall '-I 2b 2c'
_cell_length_a 5.2762
_cell_length_b 16.0138
_cell_length_c 23.9876
_cell_angle_alpha 90.00
_cell_angle_beta 90.00
_cell_angle_gamma 90.00
loop_
_atom_site_label
_atom_site_type_symbol
_atom_site_fract_x
_atom_site_fract_y
_atom_site_fract_z
Bi1 Bi 0.0000 0.2500 0.1986
Bi2 Bi 0.0110 0.0799 0.3074
Bi3 Bi 0.0319 0.0793 0.5636
O1 O 0.0522 0.0689 0.6507
O2 O 0.0722 0.0492 0.4481
O3 O 0.2390 0.0000 0.2500
O4 O 0.2461 0.1668 0.2508
F1 F 0.0000 0.2500 0.3469
```


Question: What is the formula in the first record?
Answer: Bi3O2F5


What did the third record say?
Simulated powder diffraction line list of Bi5O7F for λ = 1.5418 Å (Cu Kα), from a crystal structure in the Materials Project, relaxed with GGA-PBE.
Lines closer than 0.1° are merged.

Principal peaks in the range 10° ≤ 2θ ≤ 90°, by angle:
d [Å]	2theta	I/Imax	index
8.007	11.05	17.1	0 2 0
3.181	28.05	100.0	1 3 4
2.998	29.80	21.5	0 0 8
2.669	33.58	19.8	0 6 0
2.638	33.98	17.4	2 0 0
1.994	45.50	16.0	0 6 8
1.764	51.82	18.9	1 3 12
1.623	56.72	16.2	1 9 4

Atomic structure:
```
data_Bi5O7F
_chemical_formula_sum 'Bi40 O56 F8'
_space_group_name_H-M_alt 'I b c a'
_space_group_IT_number 73
_space_group_name_Hall '-I 2b 2c'
_cell_length_a 5.2762
_cell_length_b 16.0138
_cell_length_c 23.9876
_cell_angle_alpha 90.00
_cell_angle_beta 90.00
_cell_angle_gamma 90.00
loop_
_atom_site_label
_atom_site_type_symbol
_atom_site_fract_x
_atom_site_fract_y
_atom_site_fract_z
Bi1 Bi 0.0000 0.2500 0.1986
Bi2 Bi 0.0110 0.0799 0.3074
Bi3 Bi 0.0319 0.0793 0.5636
O1 O 0.0522 0.0689 0.6507
O2 O 0.0722 0.0492 0.4481
O3 O 0.2390 0.0000 0.2500
O4 O 0.2461 0.1668 0.2508
F1 F 0.0000 0.2500 0.3469
```